1.
Computed XRD peak list of NpPd2Pt2 for Cu Kα, 1.54184 Å, from a crystal structure in Alexandria, relaxed with PBE.

Atomic structure:
```
data_NpPd2Pt2
_chemical_formula_sum 'Np1 Pd2 Pt2'
_symmetry_space_group_name_H-M 'P -6 m 2'
_symmetry_Int_Tables_number 187
_symmetry_space_group_name_Hall 'P -6 2'
_cell_length_a 4.5596
_cell_length_b 4.5596
_cell_length_c 5.4632
_cell_angle_alpha 90.00
_cell_angle_beta 90.00
_cell_angle_gamma 120.00
loop_
_atom_site_label
_atom_site_fract_x
_atom_site_fract_y
_atom_site_fract_z
_atom_site_occupancy
Np1 0.0000 0.0000 0.0000 1
Pd1 0.0000 0.0000 0.5000 1
Pd2 0.3333 0.6667 0.0000 1
Pt1 0.6667 0.3333 0.2554 1
```

Top 10 peaks for 2θ from 10° to 80°, low angle first:
d [Å]	Rel. int.
5.463	18
3.949	35
3.200	11
2.280	88
2.246	100
2.104	10
1.600	35
1.366	6
1.316	16
1.310	36

2.
Computed XRD peak list of PmTcCl for Cu Kα, 1.54184 Å, from a crystal structure in Alexandria, relaxed with PBE.

Atomic structure:
```
data_PmTcCl
_chemical_formula_sum 'Pm6 Tc6 Cl6'
_symmetry_space_group_name_H-M 'R -3 m'
_symmetry_Int_Tables_number 166
_symmetry_space_group_name_Hall '-R 3 2"'
_cell_length_a 4.0948
_cell_length_b 4.0948
_cell_length_c 34.1474
_cell_angle_alpha 90.00
_cell_angle_beta 90.00
_cell_angle_gamma 120.00
loop_
_atom_site_label
_atom_site_fract_x
_atom_site_fract_y
_atom_site_fract_z
_atom_site_occupancy
Pm1 0.0000 0.0000 0.0659 1
Tc1 0.0000 0.0000 0.3393 1
Cl1 0.0000 0.0000 0.2178 1
```

Top 10 peaks for 2θ from 10° to 80°, low angle first:
d [Å]	Rel. int.
3.527	21
2.868	100
2.728	40
2.460	21
2.047	48
2.015	19
2.010	15
1.666	19
1.522	24
1.292	16

3.
Computed XRD peak list of La2PmNd2Ho for Cu Kα, 1.54184 Å, from a crystal structure in Alexandria, relaxed with PBE.

Atomic structure:
```
data_La2PmNd2Ho
_chemical_formula_sum 'La4 Pm2 Nd4 Ho2'
_symmetry_space_group_name_H-M 'P m m a'
_symmetry_Int_Tables_number 51
_symmetry_space_group_name_Hall '-P 2a 2a'
_cell_length_a 7.1642
_cell_length_b 5.8054
_cell_length_c 10.0336
_cell_angle_alpha 90.00
_cell_angle_beta 90.00
_cell_angle_gamma 90.00
loop_
_atom_site_label
_atom_site_fract_x
_atom_site_fract_y
_atom_site_fract_z
_atom_site_occupancy
La1 0.0000 0.0000 0.0000 1
La2 0.2500 0.5000 0.1755 1
Pm1 0.2500 0.0000 0.6590 1
Nd1 0.2500 0.0000 0.3330 1
Nd2 0.2500 0.5000 0.8349 1
Ho1 0.0000 0.5000 0.5000 1
```

Top 10 peaks for 2θ from 10° to 80°, low angle first:
d [Å]	Rel. int.
2.916	92
2.900	100
2.254	10
2.056	34
1.791	8
1.677	36
1.674	20
1.524	29
1.299	10
1.223	14